This entry pairs a crystal structure of Nd9Er2Tl with its simulated powder X-ray diffraction pattern. Radiation: a wavelength of 1.5418 Å. Structure: a crystal structure in Alexandria, relaxed with GGA-PBE.
Peak positions follow from Bragg's law for the DFT cell and can differ from measured ones.

Largest 12 diffraction maxima, low angle first, 15° ≤ 2θ ≤ 90°:
2θ 30.36, rel. 100, hkl 1 1 3
2θ 34.74, rel. 17, hkl 0 0 6
2θ 35.43, rel. 33, hkl 2 0 0
2θ 50.47, rel. 24, hkl 2 0 6
2θ 50.98, rel. 12, hkl 2 2 0
2θ 59.58, rel. 15, hkl 1 1 9
2θ 60.50, rel. 28, hkl 3 1 3
2θ 63.17, rel. 12, hkl 2 2 6
2θ 82.19, rel. 12, hkl 3 1 9
2θ 82.99, rel. 6, hkl 3 3 3
2θ 84.16, rel. 5, hkl 2 0 12
2θ 85.36, rel. 5, hkl 4 0 6

Crystal structure
a b c (Å): 5.0667 5.0667 15.4939
angles (deg): 90.00 90.00 90.00
Sites, in units of the cell vectors:
Nd 0.0000 0.0000 0.0000
Nd 0.0000 0.0000 0.3310
Nd 0.0000 0.0000 0.6690
Nd 0.0000 0.5000 0.1629
Nd 0.0000 0.5000 0.5000
Nd 0.0000 0.5000 0.8371
Nd 0.5000 0.0000 0.1629
Nd 0.5000 0.0000 0.5000
Nd 0.5000 0.0000 0.8371
Er 0.5000 0.5000 0.3321
Er 0.5000 0.5000 0.6679
Tl 0.5000 0.5000 0.0000